1.
LaPr3Se3N4: simulated X-ray powder pattern (Cu Kα (λ = 1.5418 Å)), based on a PBE-relaxed structure.
Lines closer than 0.1° are merged.

Principal peaks in the range 2θ from 15° to 90°, low angle first:
2θ = 25.4°, intensity 48.2; 2θ = 29.0°, intensity 100.0; 2θ = 31.5°, intensity 51.1; 2θ = 34.0°, intensity 29.3; 2θ = 39.1°, intensity 16.8; 2θ = 43.7°, intensity 19.1; 2θ = 45.3°, intensity 21.3; 2θ = 53.9°, intensity 18.4

Structure:
Cell: 8.154 7.213 7.213 Å, 33.37 90.00 90.00°
Element x y z (fractional)
La  0.000  0.000  0.000
Pr  0.242  0.682  0.682
Pr  0.500  0.013  0.013
Pr  0.758  0.682  0.682
Se  0.000  0.318  0.318
Se  0.328  0.357  0.357
Se  0.672  0.357  0.357
N  0.000  0.586  0.586
N  0.243  0.094  0.094
N  0.500  0.604  0.604
N  0.757  0.094  0.094

***

2.
LaPr2Zr2N6: simulated X-ray powder pattern (Cu Kα (λ = 1.5418 Å)), based on a PBE-relaxed structure.
Lines closer than 0.1° are merged.

Principal peaks in the range 2θ from 15° to 90°, low angle first:
2θ = 30.6°, intensity 100.0; 2θ = 40.5°, intensity 7.4; 2θ = 43.9°, intensity 18.3; 2θ = 54.3°, intensity 10.4; 2θ = 54.5°, intensity 25.5; 2θ = 63.7°, intensity 6.9; 2θ = 72.4°, intensity 11.5; 2θ = 88.7°, intensity 11.8

Structure:
Cell: 10.757 10.757 10.757 Å, 157.89 157.89 31.46°
Element x y z (fractional)
La  0.000  0.000  0.000
Pr  0.185  0.185  0.000
Pr  0.815  0.815  0.000
Zr  0.397  0.397  0.000
Zr  0.603  0.603  0.000
N  0.079  0.579  0.500
N  0.297  0.297  0.000
N  0.421  0.921  0.500
N  0.579  0.079  0.500
N  0.703  0.703  0.000
N  0.921  0.421  0.500

***

3.
La2Pt8N: simulated X-ray powder pattern (Cu Kα (λ = 1.5418 Å)), based on a PBE-relaxed structure.
Lines closer than 0.1° are merged.

Principal peaks in the range 2θ from 15° to 90°, low angle first:
2θ = 17.1°, intensity 17.1; 2θ = 37.7°, intensity 100.0; 2θ = 38.4°, intensity 16.8; 2θ = 38.8°, intensity 23.7; 2θ = 40.3°, intensity 25.3; 2θ = 41.1°, intensity 37.7; 2θ = 44.7°, intensity 15.8; 2θ = 72.7°, intensity 15.4

Structure:
Cell: 4.387 8.756 8.756 Å, 143.59 90.00 90.00°
Element x y z (fractional)
La  0.000  0.121  0.879
La  0.000  0.879  0.121
Pt  0.000  0.295  0.690
Pt  0.000  0.544  0.544
Pt  0.000  0.690  0.295
Pt  0.500  0.364  0.566
Pt  0.500  0.501  0.990
Pt  0.500  0.566  0.364
Pt  0.500  0.881  0.881
Pt  0.500  0.990  0.501
N  0.500  0.245  0.245

***

4.
La2SmTa2N6: simulated X-ray powder pattern (Cu Kα (λ = 1.5418 Å)), based on a PBE-relaxed structure.
Lines closer than 0.1° are merged.

Principal peaks in the range 2θ from 15° to 90°, low angle first:
2θ = 31.2°, intensity 59.6; 2θ = 31.6°, intensity 100.0; 2θ = 38.8°, intensity 10.2; 2θ = 44.7°, intensity 28.6; 2θ = 55.8°, intensity 41.3; 2θ = 56.5°, intensity 14.0; 2θ = 65.1°, intensity 13.4; 2θ = 74.0°, intensity 14.5

Structure:
Cell: 10.314 10.314 10.314 Å, 157.34 157.34 32.26°
Element x y z (fractional)
La  0.180  0.180  0.000
La  0.820  0.820  0.000
Sm  0.000  0.000  0.000
Ta  0.402  0.402  0.000
Ta  0.598  0.598  0.000
N  0.082  0.582  0.500
N  0.303  0.303  0.000
N  0.418  0.918  0.500
N  0.582  0.082  0.500
N  0.697  0.697  0.000
N  0.918  0.418  0.500

***

5.
NaLa2TaO6: simulated X-ray powder pattern (Cu Kα (λ = 1.5418 Å)), based on a PBE-relaxed structure.
Lines closer than 0.1° are merged.

Principal peaks in the range 2θ from 15° to 90°, low angle first:
2θ = 18.5°, intensity 57.0; 2θ = 19.2°, intensity 29.7; 2θ = 30.0°, intensity 42.3; 2θ = 30.8°, intensity 100.0; 2θ = 31.1°, intensity 98.0; 2θ = 31.6°, intensity 47.0; 2θ = 44.1°, intensity 38.6; 2θ = 56.1°, intensity 34.1

Structure:
Cell: 5.670 5.956 9.836 Å, 90.00 124.38 90.00°
Element x y z (fractional)
Na  0.000  0.000  0.000
Na  0.000  0.500  0.500
La  0.231  0.059  0.746
La  0.231  0.441  0.246
La  0.769  0.559  0.754
La  0.769  0.941  0.254
Ta  0.500  0.000  0.500
Ta  0.500  0.500  0.000
O  0.160  0.175  0.448
O  0.160  0.325  0.948
O  0.263  0.719  0.432
O  0.263  0.781  0.932
O  0.386  0.052  0.269
O  0.386  0.448  0.769
O  0.614  0.552  0.231
O  0.614  0.948  0.731
O  0.737  0.219  0.068
O  0.737  0.281  0.568
O  0.840  0.675  0.052
O  0.840  0.825  0.552

***

6.
La2NbO5: simulated X-ray powder pattern (Cu Kα (λ = 1.5418 Å)), based on a PBE-relaxed structure.
Lines closer than 0.1° are merged.

Principal peaks in the range 2θ from 15° to 90°, low angle first:
2θ = 26.6°, intensity 100.0; 2θ = 31.5°, intensity 29.9; 2θ = 32.6°, intensity 24.2; 2θ = 43.6°, intensity 18.2; 2θ = 45.2°, intensity 21.8; 2θ = 50.3°, intensity 15.8; 2θ = 50.5°, intensity 13.6; 2θ = 53.2°, intensity 18.6

Structure:
Cell: 7.038 7.038 7.038 Å, 100.84 100.84 128.60°
Element x y z (fractional)
La  0.112  0.326  0.438
La  0.326  0.888  0.214
La  0.674  0.112  0.786
La  0.888  0.674  0.562
Nb  0.274  0.274  0.000
Nb  0.726  0.726  0.000
O  0.034  0.132  0.711
O  0.132  0.420  0.098
O  0.250  0.750  0.500
O  0.323  0.034  0.902
O  0.420  0.323  0.289
O  0.580  0.677  0.711
O  0.677  0.966  0.098
O  0.750  0.250  0.500
O  0.868  0.580  0.902
O  0.966  0.868  0.289

***

7.
LaNb7O19: simulated X-ray powder pattern (Cu Kα (λ = 1.5418 Å)), based on a PBE-relaxed structure.
Lines closer than 0.1° are merged.

Principal peaks in the range 2θ from 15° to 90°, low angle first:
2θ = 16.3°, intensity 59.0; 2θ = 26.5°, intensity 75.0; 2θ = 28.8°, intensity 100.0; 2θ = 31.5°, intensity 61.8; 2θ = 36.3°, intensity 41.7; 2θ = 50.4°, intensity 57.6; 2θ = 54.1°, intensity 34.3; 2θ = 57.9°, intensity 45.0

Structure:
Cell: 6.270 6.270 20.161 Å, 90.00 90.00 120.00°
Element x y z (fractional)
La  0.333  0.667  0.153
La  0.667  0.333  0.847
Nb  0.000  0.362  0.500
Nb  0.000  0.643  0.000
Nb  0.002  0.363  0.312
Nb  0.333  0.667  0.841
Nb  0.357  0.357  0.000
Nb  0.360  0.998  0.312
Nb  0.362  0.000  0.500
Nb  0.363  0.002  0.688
Nb  0.637  0.640  0.312
Nb  0.638  0.638  0.500
Nb  0.640  0.637  0.688
Nb  0.643  0.000  0.000
Nb  0.667  0.333  0.159
Nb  0.998  0.360  0.688
O  0.000  0.246  0.000
O  0.000  0.751  0.307
O  0.000  0.752  0.693
O  0.000  0.754  0.500
O  0.043  0.421  0.403
O  0.050  0.420  0.792
O  0.056  0.623  0.905
O  0.246  0.000  0.000
O  0.246  0.246  0.500
O  0.248  0.249  0.693
O  0.249  0.248  0.307
O  0.333  0.667  0.024
O  0.333  0.667  0.282
O  0.333  0.667  0.515
O  0.333  0.667  0.682
O  0.370  0.950  0.792
O  0.377  0.433  0.905
O  0.377  0.957  0.403
O  0.420  0.050  0.208
O  0.421  0.043  0.597
O  0.433  0.377  0.095
O  0.567  0.944  0.905
O  0.579  0.623  0.403
O  0.580  0.630  0.792
O  0.623  0.056  0.095
O  0.623  0.579  0.597
O  0.630  0.580  0.208
O  0.667  0.333  0.318
O  0.667  0.333  0.485
O  0.667  0.333  0.718
O  0.667  0.333  0.976
O  0.751  0.000  0.693
O  0.752  0.000  0.307
O  0.754  0.000  0.500
O  0.754  0.754  0.000
O  0.944  0.567  0.095
O  0.950  0.370  0.208
O  0.957  0.377  0.597

***

8.
LaPr2Nb2O6: simulated X-ray powder pattern (Cu Kα (λ = 1.5418 Å)), based on a PBE-relaxed structure.
Lines closer than 0.1° are merged.

Principal peaks in the range 2θ from 15° to 90°, low angle first:
2θ = 25.9°, intensity 23.8; 2θ = 31.0°, intensity 94.6; 2θ = 32.0°, intensity 100.0; 2θ = 39.6°, intensity 36.0; 2θ = 42.2°, intensity 19.7; 2θ = 44.4°, intensity 51.9; 2θ = 55.8°, intensity 41.9; 2θ = 61.0°, intensity 19.1

Structure:
Cell: 10.033 10.033 10.033 Å, 156.55 156.55 33.40°
Element x y z (fractional)
La  0.000  0.000  0.000
Pr  0.179  0.179  0.000
Pr  0.821  0.821  0.000
Nb  0.430  0.430  0.000
Nb  0.570  0.570  0.000
O  0.095  0.595  0.500
O  0.294  0.294  0.000
O  0.405  0.905  0.500
O  0.595  0.095  0.500
O  0.706  0.706  0.000
O  0.905  0.405  0.500

***

9.
Rb2LaNb2O7: simulated X-ray powder pattern (Cu Kα (λ = 1.5418 Å)), based on a PBE-relaxed structure.
Lines closer than 0.1° are merged.

Principal peaks in the range 2θ from 15° to 90°, low angle first:
2θ = 29.9°, intensity 100.0; 2θ = 31.3°, intensity 49.5; 2θ = 40.6°, intensity 14.3; 2θ = 44.9°, intensity 28.0; 2θ = 52.2°, intensity 23.1; 2θ = 54.8°, intensity 18.5; 2θ = 54.9°, intensity 18.1; 2θ = 62.1°, intensity 15.3

Structure:
Cell: 11.473 11.473 5.704 Å, 90.00 90.00 28.86°
Element x y z (fractional)
Rb  0.039  0.574  0.750
Rb  0.426  0.961  0.750
Rb  0.574  0.039  0.250
Rb  0.961  0.426  0.250
La  0.241  0.759  0.750
La  0.759  0.241  0.250
Nb  0.157  0.653  0.250
Nb  0.347  0.843  0.250
Nb  0.653  0.157  0.750
Nb  0.843  0.347  0.750
O  0.091  0.091  0.000
O  0.091  0.091  0.500
O  0.103  0.539  0.250
O  0.187  0.813  0.250
O  0.428  0.428  0.000
O  0.428  0.428  0.500
O  0.461  0.897  0.250
O  0.539  0.103  0.750
O  0.572  0.572  0.000
O  0.572  0.572  0.500
O  0.813  0.187  0.750
O  0.897  0.461  0.750
O  0.909  0.909  0.000
O  0.909  0.909  0.500